Entry 1:
Diffraction record for Mg6CrB. The XRD peak list is computed, not measured: it uses a PBE-relaxed structure and Cu Kα X-rays.
Peak positions follow from Bragg's law for the DFT cell and can differ from measured ones.

Atomic structure:
a = 4.7120 Å, b = 6.0201 Å, c = 10.5811 Å
α = 90.00°, β = 90.00°, γ = 90.00°
Space group Amm2 (No. 38)
Asymmetric unit:
1 Mg 0.0000 0.0000 0.0000 [2 per cell]
2 Mg 0.0000 0.0000 0.4934 [2 per cell]
3 Mg 0.0000 0.2456 0.2592 [4 per cell]
4 Mg 0.5000 0.2489 0.0912 [4 per cell]
5 Cr 0.5000 0.0000 0.8417 [2 per cell]
6 B 0.5000 0.0000 0.3396 [2 per cell]

Largest 10 diffraction maxima, by angle, 10 to 90 degrees two-theta:
- hkl 0 1 1, 2θ 16.94, I = 237
- hkl 1 1 1, 2θ 25.44, I = 221
- hkl 0 2 2, 2θ 34.28, I = 290
- hkl 2 0 0, 2θ 38.20, I = 381
- hkl 1 0 4, 2θ 39.05, I = 565
- hkl 1 2 2, 2θ 39.39, I = 1000
- hkl 2 2 2, 2θ 52.25, I = 161
- hkl 0 2 6, 2θ 60.87, I = 190
- hkl 3 2 2, 2θ 69.85, I = 163
- hkl 2 2 6, 2θ 74.19, I = 180


Entry 2:
Diffraction record for Mg6CrB. The XRD peak list is computed, not measured: it uses a PBE-relaxed structure and Cu Kα X-rays.
Peak positions follow from Bragg's law for the DFT cell and can differ from measured ones.

Atomic structure:
a = 3.3198 Å, b = 9.3171 Å, c = 10.2039 Å
α = 90.00°, β = 90.00°, γ = 90.00°
Space group Amm2 (No. 38)
Asymmetric unit:
1 Mg 0.0000 0.0000 0.0000 [2 per cell]
2 Mg 0.0000 0.1711 0.2763 [4 per cell]
3 Mg 0.5000 0.0000 0.7473 [2 per cell]
4 Mg 0.5000 0.2362 0.5280 [4 per cell]
5 Cr 0.0000 0.0000 0.5045 [2 per cell]
6 B 0.5000 0.0000 0.3906 [2 per cell]

Largest 10 diffraction maxima, by angle, 10 to 90 degrees two-theta:
- hkl 0 1 1, 2θ 12.87, I = 460
- hkl 0 0 2, 2θ 17.38, I = 177
- hkl 1 1 1, 2θ 29.88, I = 136
- hkl 0 3 1, 2θ 30.08, I = 145
- hkl 0 0 4, 2θ 35.18, I = 330
- hkl 1 2 2, 2θ 37.65, I = 1000
- hkl 0 4 0, 2θ 38.66, I = 139
- hkl 0 4 2, 2θ 42.67, I = 155
- hkl 2 0 0, 2θ 55.35, I = 107
- hkl 1 2 6, 2θ 64.76, I = 148


Entry 3:
Diffraction record for MnCrB2. The XRD peak list is computed, not measured: it uses a PBE-relaxed structure and Cu Kα X-rays.
Peak positions follow from Bragg's law for the DFT cell and can differ from measured ones.

Atomic structure:
a = 2.9348 Å, b = 2.9627 Å, c = 7.7281 Å
α = 90.00°, β = 90.00°, γ = 90.00°
Space group Amm2 (No. 38)
Asymmetric unit:
1 Mn 0.0000 0.0000 0.0000 [2 per cell]
2 Cr 0.5000 0.0000 0.7128 [2 per cell]
3 B 0.0000 0.0000 0.2910 [2 per cell]
4 B 0.5000 0.0000 0.4246 [2 per cell]

Largest 10 diffraction maxima, by angle, 10 to 90 degrees two-theta:
- hkl 0 1 1, 2θ 32.36, I = 443
- hkl 1 0 2, 2θ 38.52, I = 866
- hkl 1 1 1, 2θ 45.03, I = 1000
- hkl 0 1 3, 2θ 46.73, I = 566
- hkl 0 0 4, 2θ 47.03, I = 254
- hkl 1 1 3, 2θ 56.81, I = 196
- hkl 0 2 0, 2θ 62.72, I = 151
- hkl 1 2 2, 2θ 76.07, I = 194
- hkl 1 1 5, 2θ 76.76, I = 185
- hkl 2 1 3, 2θ 82.33, I = 182


Entry 4:
Diffraction record for CrB4Mo. The XRD peak list is computed, not measured: it uses a PBE-relaxed structure and Cu Kα X-rays.
Peak positions follow from Bragg's law for the DFT cell and can differ from measured ones.

Atomic structure:
a = 3.0133 Å, b = 5.2175 Å, c = 6.3150 Å
α = 90.00°, β = 90.00°, γ = 90.00°
Space group Immm (No. 71)
Asymmetric unit:
1 Cr 0.0000 0.0000 0.0000 [2 per cell]
2 B 0.0000 0.3334 0.2538 [8 per cell]
3 Mo 0.0000 0.0000 0.5000 [2 per cell]

Largest 10 diffraction maxima, by angle, 10 to 90 degrees two-theta:
- hkl 0 1 1, 2θ 22.10, I = 153
- hkl 0 0 2, 2θ 28.26, I = 311
- hkl 1 1 0, 2θ 34.37, I = 740
- hkl 1 1 2, 2θ 45.08, I = 1000
- hkl 0 0 4, 2θ 58.46, I = 85
- hkl 2 0 0, 2θ 61.56, I = 216
- hkl 2 0 2, 2θ 69.09, I = 146
- hkl 1 1 4, 2θ 69.60, I = 176
- hkl 2 2 0, 2θ 72.45, I = 78
- hkl 2 2 2, 2θ 79.49, I = 174


Which formula does entry 3 have?
MnCrB2